# CeTePt5
Theoretical PXRD pattern, Cu Kα X-rays. Input: the PBE geometry in Alexandria.
Kinematic intensities with the Lorentz-polarization factor, no thermal factor.

Peak list (10 most intense, 10° ≤ 2θ ≤ 90°, low angle first)
2θ 34.02, rel. 56.5
2θ 34.36, rel. 38.9
2θ 35.70, rel. 36.5
2θ 36.71, rel. 42.0
2θ 38.71, rel. 100.0
2θ 39.36, rel. 28.2
2θ 42.24, rel. 59.0
2θ 42.80, rel. 33.4
2θ 44.49, rel. 41.3
2θ 46.12, rel. 70.6

Structure:
abc: 9.3816 5.5436 10.4411
angles: 90.00 90.00 90.00
Space group Pnma (No. 62)
Unique sites:
Ce1 0.2253 0.2500 0.0293 x4
Te1 0.1365 0.7500 0.8225 x4
Pt1 0.0159 0.2500 0.5002 x4
Pt2 0.0851 0.7500 0.0634 x4
Pt3 0.1072 0.0017 0.2905 x8
Pt4 0.1450 0.2500 0.7462 x4